Entry 1:
Theoretical powder XRD pattern of TlW3 for Cu Kα X-rays, from a crystal structure in Alexandria, relaxed with PBE.

The 10 most intense peaks (10 to 80 degrees two-theta), low angle first:
Position (°2θ), I_rel
38.05, 27
38.58, 23
38.85, 100
55.30, 17
56.92, 9
60.50, 3
69.28, 19
69.98, 14
70.54, 10
70.88, 8

Structural model:
Unit cell a=2.8653 b=2.8653 c=9.3355 alpha=90.00 beta=90.00 gamma=111.25
Atoms (fractional coordinates):
Tl1 0.0000 0.0000 0.0000
W1 0.0000 0.0000 0.5000
W2 0.5000 0.5000 0.2701
W3 0.5000 0.5000 0.7299


Entry 2:
Theoretical powder XRD pattern of NpMnZn11 for Cu Kα X-rays, from a crystal structure in Alexandria, relaxed with PBE.

The 10 most intense peaks (10 to 80 degrees two-theta), low angle first:
Position (°2θ), I_rel
14.03, 16
28.22, 35
31.72, 18
34.61, 19
34.78, 53
40.24, 95
40.42, 100
40.47, 24
45.33, 19
65.99, 17

Structural model:
Unit cell a=6.8069 b=6.8069 c=6.8272 alpha=98.25 beta=98.25 gamma=135.23
Atoms (fractional coordinates):
Np1 0.0000 0.0000 0.0000
Mn1 0.5000 0.5000 0.5000
Zn1 0.0000 0.0000 0.5000
Zn2 0.0000 0.5000 0.0000
Zn3 0.0168 0.3638 0.3547
Zn4 0.2858 0.5020 0.7824
Zn5 0.3638 0.0168 0.3547
Zn6 0.4980 0.7142 0.2176
Zn7 0.5000 0.0000 0.0000
Zn8 0.5020 0.2858 0.7824
Zn9 0.6362 0.9832 0.6453
Zn10 0.7142 0.4980 0.2176
Zn11 0.9832 0.6362 0.6453